Starting from a cell relaxed with PBE, the powder XRD pattern of ZrNi2Ag was calculated for a wavelength of 1.5418 Å.
Peak positions follow from Bragg's law for the DFT cell and can differ from measured ones.

Peak list (10 most intense, 2θ = 10–80°, in order of falling intensity)
2θ = 39.9°, intensity 100, hkl 1 1 2
2θ = 44.7°, intensity 36, hkl 2 0 0
2θ = 79.1°, intensity 24, hkl 3 1 2
2θ = 69.1°, intensity 18, hkl 2 0 4
2θ = 49.7°, intensity 13, hkl 0 0 4
2θ = 65.0°, intensity 11, hkl 2 2 0
2θ = 31.2°, intensity 5, hkl 1 1 0
2θ = 24.3°, intensity 5, hkl 0 0 2
2θ = 51.5°, intensity 2, hkl 2 0 2
2θ = 59.9°, intensity 2, hkl 1 1 4

```
data_ZrNi2Ag
_chemical_formula_sum 'Zr2 Ni4 Ag2'
_symmetry_space_group_name_H-M 'I 4/m m m'
_symmetry_Int_Tables_number 139
_symmetry_space_group_name_Hall '-I 4 2'
_cell_length_a 4.0570
_cell_length_b 4.0570
_cell_length_c 7.3332
_cell_angle_alpha 90.00
_cell_angle_beta 90.00
_cell_angle_gamma 90.00
loop_
_atom_site_label
_atom_site_type_symbol
_atom_site_fract_x
_atom_site_fract_y
_atom_site_fract_z
Zr1 Zr 0.0000 0.0000 0.0000
Ni1 Ni 0.0000 0.5000 0.2500
Ag1 Ag 0.0000 0.0000 0.5000
```